# PrTlHgO3
Computed X-ray diffraction stick pattern, λ = 1.5418 Å (Cu Kα). Input: DFT lattice parameters and positions (PBE).
Neutral-atom scattering factors, no anomalous dispersion.

The 10 most intense peaks (10 to 80 degrees two-theta), sorted by position:
19.3°, intensity 30.4; 23.5°, intensity 54.0; 31.0°, intensity 100.0; 31.5°, intensity 68.3; 33.0°, intensity 39.6; 36.8°, intensity 22.0; 39.3°, intensity 30.7; 50.9°, intensity 49.6; 54.5°, intensity 18.7; 57.4°, intensity 30.5

Atomic structure:
abc: 6.9913 6.9913 9.1798
angles: 90.00 90.00 148.81
Fractional positions:
Pr1 0.0000 0.0000 0.0000
Pr2 0.0000 0.0000 0.5000
Tl1 0.3280 0.6720 0.7500
Tl2 0.6720 0.3280 0.2500
Hg1 0.3604 0.6396 0.2500
Hg2 0.6396 0.3604 0.7500
O1 0.0514 0.9486 0.2500
O2 0.3883 0.6117 0.0293
O3 0.3883 0.6117 0.4707
O4 0.6117 0.3883 0.5293
O5 0.6117 0.3883 0.9707
O6 0.9486 0.0514 0.7500

# HgPtO3
Computed X-ray diffraction stick pattern, λ = 1.5418 Å (Cu Kα). Input: DFT lattice parameters and positions (PBE).
Neutral-atom scattering factors, no anomalous dispersion.

The 10 most intense peaks (10 to 80 degrees two-theta), sorted by position:
22.0°, intensity 19.3; 29.9°, intensity 89.9; 32.8°, intensity 100.0; 34.7°, intensity 24.8; 44.9°, intensity 32.1; 48.6°, intensity 25.1; 56.7°, intensity 31.8; 58.5°, intensity 25.6; 64.2°, intensity 22.1; 68.6°, intensity 13.1

Atomic structure:
abc: 6.0302 6.0302 6.0302
angles: 53.93 53.93 53.93
Fractional positions:
Hg1 0.1273 0.1273 0.1273
Hg2 0.8727 0.8727 0.8727
Pt1 0.3380 0.3380 0.3380
Pt2 0.6620 0.6620 0.6620
O1 0.0609 0.4593 0.6968
O2 0.3032 0.9391 0.5407
O3 0.4593 0.6968 0.0609
O4 0.5407 0.3032 0.9391
O5 0.6968 0.0609 0.4593
O6 0.9391 0.5407 0.3032

# HgPtSO
Computed X-ray diffraction stick pattern, λ = 1.5418 Å (Cu Kα). Input: DFT lattice parameters and positions (PBE).
Neutral-atom scattering factors, no anomalous dispersion.

The 10 most intense peaks (10 to 80 degrees two-theta), sorted by position:
25.6°, intensity 36.1; 28.7°, intensity 64.6; 32.0°, intensity 47.3; 32.6°, intensity 100.0; 39.4°, intensity 15.2; 41.4°, intensity 14.6; 42.1°, intensity 24.2; 43.4°, intensity 24.1; 53.8°, intensity 26.6; 59.7°, intensity 20.4

Atomic structure:
abc: 7.1522 9.0102 8.5892
angles: 90.00 90.00 90.00
Fractional positions:
Hg1 0.2425 0.0593 0.0014
Hg2 0.2425 0.4407 0.5014
Hg3 0.2575 0.5593 0.0014
Hg4 0.2575 0.9407 0.5014
Hg5 0.7425 0.0593 0.4986
Hg6 0.7425 0.4407 0.9986
Hg7 0.7575 0.5593 0.4986
Hg8 0.7575 0.9407 0.9986
Pt1 0.0099 0.2025 0.2417
Pt2 0.0099 0.2975 0.7417
Pt3 0.4901 0.7025 0.2417
Pt4 0.4901 0.7975 0.7417
Pt5 0.5099 0.2025 0.2583
Pt6 0.5099 0.2975 0.7583
Pt7 0.9901 0.7025 0.2583
Pt8 0.9901 0.7975 0.7583
S1 0.0753 0.0467 0.7302
S2 0.0753 0.4533 0.2302
S3 0.4247 0.5467 0.7302
S4 0.4247 0.9533 0.2302
S5 0.5753 0.0467 0.7698
S6 0.5753 0.4533 0.2698
S7 0.9247 0.5467 0.7698
S8 0.9247 0.9533 0.2698
O1 0.2451 0.7022 0.3741
O2 0.2451 0.7978 0.8741
O3 0.2549 0.2022 0.3741
O4 0.2549 0.2978 0.8741
O5 0.7451 0.7022 0.1259
O6 0.7451 0.7978 0.6259
O7 0.7549 0.2022 0.1259
O8 0.7549 0.2978 0.6259

# HgPtSO
Computed X-ray diffraction stick pattern, λ = 1.5418 Å (Cu Kα). Input: DFT lattice parameters and positions (PBE).
Neutral-atom scattering factors, no anomalous dispersion.

The 10 most intense peaks (10 to 80 degrees two-theta), sorted by position:
22.2°, intensity 30.7; 24.2°, intensity 32.1; 26.7°, intensity 26.5; 29.5°, intensity 26.8; 31.1°, intensity 100.0; 31.7°, intensity 39.8; 33.6°, intensity 36.2; 40.2°, intensity 30.2; 49.2°, intensity 39.5; 50.6°, intensity 27.1

Atomic structure:
abc: 6.0617 8.0088 5.6476
angles: 90.00 90.00 90.00
Fractional positions:
Hg1 0.0047 0.1956 0.0000
Hg2 0.4953 0.1956 0.5000
Hg3 0.5047 0.8044 0.0000
Hg4 0.9953 0.8044 0.5000
Pt1 0.1186 0.3662 0.6025
Pt2 0.3814 0.3662 0.1025
Pt3 0.6186 0.6338 0.6025
Pt4 0.8814 0.6338 0.1025
S1 0.0845 0.8447 0.9348
S2 0.4155 0.8447 0.4348
S3 0.5845 0.1553 0.9348
S4 0.9155 0.1553 0.4348
O1 0.1537 0.5073 0.2825
O2 0.3463 0.5073 0.7825
O3 0.6537 0.4927 0.2825
O4 0.8463 0.4927 0.7825

# HgTePtO
Computed X-ray diffraction stick pattern, λ = 1.5418 Å (Cu Kα). Input: DFT lattice parameters and positions (PBE).
Neutral-atom scattering factors, no anomalous dispersion.

The 10 most intense peaks (10 to 80 degrees two-theta), sorted by position:
22.1°, intensity 39.1; 24.9°, intensity 26.0; 25.9°, intensity 37.1; 28.1°, intensity 21.8; 31.6°, intensity 32.8; 36.9°, intensity 32.3; 38.6°, intensity 100.0; 47.0°, intensity 33.0; 60.1°, intensity 17.9; 73.7°, intensity 23.6

Atomic structure:
abc: 6.8807 13.7782 7.1585
angles: 90.00 90.00 90.00
Fractional positions:
Hg1 0.0052 0.2493 0.0005
Hg2 0.0052 0.2507 0.5005
Hg3 0.4948 0.7493 0.0005
Hg4 0.4948 0.7507 0.5005
Hg5 0.5052 0.2493 0.4995
Hg6 0.5052 0.2507 0.9995
Hg7 0.9948 0.7493 0.4995
Hg8 0.9948 0.7507 0.9995
Te1 0.9998 0.9998 0.2506
Te2 0.0002 0.0002 0.7494
Te3 0.0002 0.4998 0.2494
Te4 0.9998 0.5002 0.7506
Te5 0.4998 0.9998 0.2494
Te6 0.5002 0.0002 0.7506
Te7 0.5002 0.4998 0.2506
Te8 0.4998 0.5002 0.7494
Pt1 0.2491 0.5682 0.5000
Pt2 0.2491 0.9318 0.0000
Pt3 0.2509 0.0682 0.5000
Pt4 0.2509 0.4318 0.0000
Pt5 0.7491 0.5682 0.0000
Pt6 0.7491 0.9318 0.5000
Pt7 0.7509 0.0682 0.0000
Pt8 0.7509 0.4318 0.5000
O1 0.2446 0.7099 0.8575
O2 0.2446 0.7901 0.3575
O3 0.2554 0.2099 0.8575
O4 0.2554 0.2901 0.3575
O5 0.7446 0.7099 0.6425
O6 0.7446 0.7901 0.1425
O7 0.7554 0.2099 0.6425
O8 0.7554 0.2901 0.1425

# TlHg3PtO4
Computed X-ray diffraction stick pattern, λ = 1.5418 Å (Cu Kα). Input: DFT lattice parameters and positions (PBE).
Neutral-atom scattering factors, no anomalous dispersion.

The 10 most intense peaks (10 to 80 degrees two-theta), sorted by position:
16.1°, intensity 20.9; 22.8°, intensity 20.8; 28.0°, intensity 85.0; 32.5°, intensity 100.0; 46.6°, intensity 96.0; 55.3°, intensity 39.7; 58.0°, intensity 27.3; 68.0°, intensity 15.4; 75.1°, intensity 16.4; 77.4°, intensity 36.7

Atomic structure:
abc: 5.5122 5.5122 5.5122
angles: 90.00 90.00 90.00
Fractional positions:
Tl1 0.0000 0.0000 0.0000
Hg1 0.0000 0.5000 0.5000
Hg2 0.5000 0.0000 0.5000
Hg3 0.5000 0.5000 0.0000
Pt1 0.5000 0.5000 0.5000
O1 0.2318 0.2318 0.2318
O2 0.2318 0.7682 0.7682
O3 0.7682 0.2318 0.7682
O4 0.7682 0.7682 0.2318